Diffraction record for Hf2Ag3F14. The powder diffraction line list is theoretical, not measured: it uses a DFT-relaxed cell (GGA-PBE, the Materials Project) and Cu Ka.
Kinematic intensities with the Lorentz-polarization factor, no thermal factor.

Structural model:
Lattice parameters (Å, degrees): 5.837 5.837 9.256 90.99 90.99 71.31
Sites, in units of the cell vectors:
Hf: 0.091 0.091 0.214
Hf: 0.909 0.909 0.786
Ag: 0.312 0.312 0.604
Ag: 0.500 0.500 0.000
Ag: 0.688 0.688 0.396
F: 0.000 0.000 0.000
F: 0.005 0.652 0.616
F: 0.108 0.108 0.706
F: 0.231 0.644 0.838
F: 0.272 0.272 0.121
F: 0.348 0.995 0.384
F: 0.356 0.769 0.162
F: 0.500 0.500 0.500
F: 0.644 0.231 0.838
F: 0.652 0.005 0.616
F: 0.728 0.728 0.879
F: 0.769 0.356 0.162
F: 0.892 0.892 0.294
F: 0.995 0.348 0.384

Most intense lines, 2θ from 10° to 90°, in order of rising 2θ:
2theta, I (rel.)
20.87, 90.3
25.25, 100.0
26.19, 42.7
32.88, 27.0
33.08, 24.4
33.72, 22.3
42.48, 21.3
43.91, 15.8
45.65, 29.5
49.92, 14.3
50.60, 24.9
51.85, 15.3